Record 1
This entry pairs a crystal structure of RbSNO4 with its theoretical powder diffractogram. Radiation: Cu Kα X-rays. Structure: a PBE-relaxed structure.
Lines closer than 0.1° are merged.

Crystal structure
Cell lengths 7.916, 6.065, 10.912 Å; angles 90.00, 90.00, 90.00 degrees
Space group Pnma (No. 62)
Unique sites:
1 Rb 0.183 0.250 0.093 x4
2 S 0.230 0.250 0.421 x4
3 N 0.015 0.750 0.305 x4
4 O 0.043 0.250 0.413 x4
5 O 0.204 0.551 0.855 x8
6 O 0.214 0.750 0.050 x4

Most intense lines, 2θ from 10° to 90°, by intensity:
index, d_spacing, two_theta, I_rel
0 1 3, 3.119, 28.62, 1000
0 1 1, 5.301, 16.72, 823
2 0 0, 3.958, 22.46, 595
0 2 0, 3.033, 29.45, 518
2 1 1, 3.172, 28.14, 361
1 2 2, 2.514, 35.72, 343
0 0 2, 5.456, 16.25, 334
3 0 1, 2.565, 34.99, 311
2 1 0, 3.315, 26.90, 280
2 2 3, 2.007, 45.17, 244

***

Record 2
This entry pairs a crystal structure of EuGePd with its theoretical powder diffractogram. Radiation: Cu Kα X-rays. Structure: a PBE-relaxed structure.
Lines closer than 0.1° are merged.

Crystal structure
Cell lengths 6.196, 6.070, 8.034 Å; angles 90.00, 116.89, 90.00 degrees
Space group P2_1/c (No. 14)
Unique sites:
1 Eu 0.202 0.135 0.382 x4
2 Ge 0.229 0.634 0.549 x4
3 Pd 0.390 0.602 0.313 x4

Most intense lines, 2θ from 10° to 90°, by intensity:
index, d_spacing, two_theta, I_rel
1 2 1, 2.334, 38.58, 1000
1 1 -3, 2.450, 36.69, 828
0 2 1, 2.795, 32.03, 744
2 1 -2, 2.629, 34.10, 700
1 2 -1, 2.692, 33.28, 536
2 1 -1, 2.753, 32.52, 478
1 0 2, 2.529, 35.50, 451
2 0 0, 2.763, 32.41, 371
0 1 2, 3.085, 28.94, 319
2 1 0, 2.515, 35.71, 235